The following is a calculated powder diffraction line list of Ce2Sm5Ge4. It was derived from a DFT-relaxed cell (GGA-PBE, Alexandria), using Cu Ka.
Peak positions follow from Bragg's law for the DFT cell and can differ from measured ones.

Largest 8 diffraction maxima, low angle first, 2θ = 15–90°:
index  two_theta  Rel. int.
0 0 2  25.33  652
3 1 1  30.09  829
8 0 -1  30.42  834
5 1 0  30.59  358
6 0 2  33.11  1000
1 1 2  36.15  844
3 1 -2  37.47  369
0 2 0  51.46  510

Atomic structure:
Cell: 25.767 3.551 7.026 Å, 90.00 90.57 90.00°
Space group C2/m (No. 12)
Unique sites:
Ce: 0.093 0.000 0.196 x4
Sm: 0.000 0.500 0.500 x2
Sm: 0.132 0.000 0.687 x4
Sm: 0.233 0.000 0.255 x4
Ge: 0.025 0.000 0.845 x4
Ge: 0.173 0.500 0.994 x4

---

The following is a calculated powder diffraction line list of Ce6SnGe3. It was derived from a DFT-relaxed cell (GGA-PBE, Alexandria), using Cu Ka.
Peak positions follow from Bragg's law for the DFT cell and can differ from measured ones.

Largest 8 diffraction maxima, low angle first, 2θ = 15–90°:
index  two_theta  Rel. int.
0 2 2  26.99  304
2 2 2  31.08  207
3 1 2  32.76  1000
1 3 2  33.29  820
4 2 0  34.51  399
2 4 0  35.28  590
0 0 4  44.51  378
2 4 4  58.02  278

Atomic structure:
Cell: 11.707 11.300 8.145 Å, 90.00 90.00 90.00°
Space group Cmcm (No. 63)
Unique sites:
Ce: 0.000 0.136 0.006 x8
Ce: 0.157 0.500 0.000 x8
Ce: 0.242 0.252 0.250 x8
Sn: 0.000 0.347 0.750 x4
Ge: 0.000 0.350 0.250 x4
Ge: 0.153 0.002 0.750 x8

---

The following is a calculated powder diffraction line list of CeSnGe. It was derived from a DFT-relaxed cell (GGA-PBE, Alexandria), using Cu Ka.
Peak positions follow from Bragg's law for the DFT cell and can differ from measured ones.

Largest 8 diffraction maxima, low angle first, 2θ = 15–90°:
index  two_theta  Rel. int.
0 6 0  32.16  211
1 5 0  33.70  118
1 3 1  33.96  1000
2 0 0  41.07  165
0 0 2  44.17  134
2 6 0  53.09  103
3 3 1  70.28  123
1 3 3  74.70  104

Atomic structure:
Cell: 4.396 16.699 4.100 Å, 90.00 90.00 90.00°
Space group Cmcm (No. 63)
Unique sites:
Ce: 0.000 0.095 0.250 x4
Sn: 0.000 0.255 0.750 x4
Ge: 0.000 0.448 0.250 x4

---

The following is a calculated powder diffraction line list of Ce2Sn5Ge. It was derived from a DFT-relaxed cell (GGA-PBE, Alexandria), using Cu Ka.
Peak positions follow from Bragg's law for the DFT cell and can differ from measured ones.

Largest 8 diffraction maxima, low angle first, 2θ = 15–90°:
index  two_theta  Rel. int.
0 4 1  33.35  1000
2 4 0  38.30  336
0 0 2  39.47  163
0 8 0  55.35  60
2 4 2  56.17  224
2 8 1  66.12  257
0 4 3  67.71  133
0 8 2  70.09  60

Atomic structure:
Cell: 6.654 13.279 4.566 Å, 90.00 90.00 90.00°
Space group Pbam (No. 55)
Unique sites:
Ce: 0.229 0.119 0.000 x4
Sn: 0.000 0.500 0.500 x2
Sn: 0.021 0.753 0.500 x4
Sn: 0.237 0.373 0.000 x4
Ge: 0.000 0.000 0.500 x2

---

Q: What is the formula in the first record?
A: Ce2Sm5Ge4